1.
Structure and simulated powder diffractogram of Tl2Ga3Au9 (a PBE-relaxed structure; Cu Kα (λ = 1.5418 Å)).
Peak positions follow from Bragg's law for the DFT cell and can differ from measured ones.

Atomic structure:
```
data_Tl2Ga3Au9
_chemical_formula_sum 'Tl4 Ga6 Au18'
_cell_length_a 7.9088
_cell_length_b 7.9088
_cell_length_c 11.3718
_cell_angle_alpha 110.81
_cell_angle_beta 110.81
_cell_angle_gamma 59.62
_space_group_name_H-M_alt 'P 1'
_space_group_IT_number 1
loop_
_space_group_symop_operation_xyz
'x,y,z'
loop_
_atom_site_label
_atom_site_fract_x
_atom_site_fract_y
_atom_site_fract_z
Tl1 0.0817 0.2514 0.2497
Tl2 0.2514 0.0817 0.7497
Tl3 0.7486 0.9183 0.2503
Tl4 0.9183 0.7486 0.7503
Ga1 0.0000 0.5000 0.0000
Ga2 0.1550 0.6730 0.4997
Ga3 0.3270 0.8450 0.0003
Ga4 0.5000 0.0000 0.5000
Ga5 0.6730 0.1550 0.9997
Ga6 0.8450 0.3270 0.5003
Au1 0.0307 0.8446 0.0629
Au2 0.1554 0.9693 0.4371
Au3 0.1915 0.5875 0.2489
Au4 0.1980 0.3542 0.5611
Au5 0.3145 0.4714 0.9175
Au6 0.3542 0.1980 0.0611
Au7 0.3623 0.6377 0.7500
Au8 0.4125 0.8085 0.2511
Au9 0.4714 0.3145 0.4175
Au10 0.5286 0.6855 0.5825
Au11 0.5875 0.1915 0.7489
Au12 0.6377 0.3623 0.2500
Au13 0.6458 0.8020 0.9389
Au14 0.6855 0.5286 0.0825
Au15 0.8020 0.6458 0.4389
Au16 0.8085 0.4125 0.7511
Au17 0.8446 0.0307 0.5629
Au18 0.9693 0.1554 0.9371
```

Peak list (10 most intense, 5 to 70 degrees two-theta, sorted by position)
28.50°, rel. 12
34.33°, rel. 44
34.56°, rel. 100
39.39°, rel. 26
39.63°, rel. 51
40.49°, rel. 9
52.96°, rel. 10
68.03°, rel. 11
68.44°, rel. 16
68.73°, rel. 16



2.
Structure and simulated powder diffractogram of Sm2DyY2Tm2 (a PBE-relaxed structure; Cu Kα (λ = 1.5418 Å)).
Peak positions follow from Bragg's law for the DFT cell and can differ from measured ones.

Atomic structure:
```
data_Sm2DyY2Tm2
_chemical_formula_sum 'Sm2 Dy1 Y2 Tm2'
_cell_length_a 8.5771
_cell_length_b 8.5771
_cell_length_c 8.7048
_cell_angle_alpha 115.99
_cell_angle_beta 115.99
_cell_angle_gamma 23.41
_space_group_name_H-M_alt 'P 1'
_space_group_IT_number 1
loop_
_space_group_symop_operation_xyz
'x,y,z'
loop_
_atom_site_label
_atom_site_fract_x
_atom_site_fract_y
_atom_site_fract_z
Sm1 0.1368 0.1368 0.4075
Sm2 0.8632 0.8632 0.5925
Dy1 0.5000 0.5000 0.0000
Y1 0.4206 0.4206 0.2962
Y2 0.5794 0.5794 0.7038
Tm1 0.2779 0.2779 0.8552
Tm2 0.7221 0.7221 0.1448
```

Peak list (10 most intense, 5 to 70 degrees two-theta, sorted by position)
27.62°, rel. 38
30.45°, rel. 95
30.71°, rel. 100
31.02°, rel. 97
32.75°, rel. 83
33.25°, rel. 46
36.88°, rel. 55
37.25°, rel. 29
57.01°, rel. 29
62.15°, rel. 27



3.
Structure and simulated powder diffractogram of Nd3TmPb (a PBE-relaxed structure; Cu Kα (λ = 1.5418 Å)).
Peak positions follow from Bragg's law for the DFT cell and can differ from measured ones.

Atomic structure:
```
data_Nd3TmPb
_chemical_formula_sum 'Nd6 Tm2 Pb2'
_cell_length_a 3.6065
_cell_length_b 8.6069
_cell_length_c 10.5542
_cell_angle_alpha 102.74
_cell_angle_beta 90.07
_cell_angle_gamma 90.02
_space_group_name_H-M_alt 'P 1'
_space_group_IT_number 1
loop_
_space_group_symop_operation_xyz
'x,y,z'
loop_
_atom_site_label
_atom_site_fract_x
_atom_site_fract_y
_atom_site_fract_z
Nd1 0.2490 0.3371 0.0348
Nd2 0.2500 0.5368 0.6648
Nd3 0.2507 0.1616 0.4640
Nd4 0.7493 0.8384 0.5360
Nd5 0.7500 0.4632 0.3352
Nd6 0.7510 0.6629 0.9652
Tm1 0.2507 0.9519 0.8422
Tm2 0.7493 0.0481 0.1578
Pb1 0.2502 0.7672 0.2501
Pb2 0.7498 0.2328 0.7499
```

Peak list (10 most intense, 5 to 70 degrees two-theta, sorted by position)
30.23°, rel. 51
30.79°, rel. 100
31.22°, rel. 47
35.12°, rel. 35
35.15°, rel. 35
36.72°, rel. 30
51.08°, rel. 22
52.37°, rel. 21
60.10°, rel. 15
60.68°, rel. 14



What did the third record say?
Structure and simulated powder diffractogram of Nd3TmPb (a PBE-relaxed structure; Cu Kα (λ = 1.5418 Å)).
Peak positions follow from Bragg's law for the DFT cell and can differ from measured ones.

Atomic structure:
```
data_Nd3TmPb
_chemical_formula_sum 'Nd6 Tm2 Pb2'
_cell_length_a 3.6065
_cell_length_b 8.6069
_cell_length_c 10.5542
_cell_angle_alpha 102.74
_cell_angle_beta 90.07
_cell_angle_gamma 90.02
_space_group_name_H-M_alt 'P 1'
_space_group_IT_number 1
loop_
_space_group_symop_operation_xyz
'x,y,z'
loop_
_atom_site_label
_atom_site_fract_x
_atom_site_fract_y
_atom_site_fract_z
Nd1 0.2490 0.3371 0.0348
Nd2 0.2500 0.5368 0.6648
Nd3 0.2507 0.1616 0.4640
Nd4 0.7493 0.8384 0.5360
Nd5 0.7500 0.4632 0.3352
Nd6 0.7510 0.6629 0.9652
Tm1 0.2507 0.9519 0.8422
Tm2 0.7493 0.0481 0.1578
Pb1 0.2502 0.7672 0.2501
Pb2 0.7498 0.2328 0.7499
```

Peak list (10 most intense, 5 to 70 degrees two-theta, sorted by position)
30.23°, rel. 51
30.79°, rel. 100
31.22°, rel. 47
35.12°, rel. 35
35.15°, rel. 35
36.72°, rel. 30
51.08°, rel. 22
52.37°, rel. 21
60.10°, rel. 15
60.68°, rel. 14